For Tb3CdBi, a DFT-relaxed cell (PBE, Alexandria) gives the computed powder diffraction line list in this record (Cu Kα (weighted mean of Kα1 and Kα2)).

Structural model:
```
data_Tb3CdBi
_symmetry_space_group_name_H-M 'P 1'
_symmetry_Int_Tables_number 1
_symmetry_space_group_name_Hall 'P 1'
_cell_length_a 4.1258
_cell_length_b 6.6183
_cell_length_c 11.2413
_cell_angle_alpha 90.00
_cell_angle_beta 90.00
_cell_angle_gamma 90.00
loop_
_atom_site_label
_atom_site_type_symbol
_atom_site_fract_x
_atom_site_fract_y
_atom_site_fract_z
_atom_site_occupancy
Tb1 Tb 0.2500 0.0023 0.1981 1
Tb2 Tb 0.2500 0.2500 0.5805 1
Tb3 Tb 0.2500 0.4977 0.1981 1
Tb4 Tb 0.7500 0.5023 0.8019 1
Tb5 Tb 0.7500 0.7500 0.4195 1
Tb6 Tb 0.7500 0.9977 0.8019 1
Cd1 Cd 0.2500 0.2500 0.9577 1
Cd2 Cd 0.7500 0.7500 0.0423 1
Bi1 Bi 0.2500 0.7500 0.6344 1
Bi2 Bi 0.7500 0.2500 0.3656 1
```

Main lines, in order of rising 2θ (15° ≤ 2θ ≤ 90°):
2θ/deg, intensity
26.80, 74.4
31.37, 37.6
32.27, 59.5
35.69, 100.0
36.22, 38.9
43.89, 28.4